1.
This entry pairs a crystal structure of La3AgPd2 with its theoretical powder diffractogram. Radiation: Cu Kα X-rays. Structure: a cell relaxed with GGA-PBE.
Peak positions follow from Bragg's law for the DFT cell and can differ from measured ones.

Structural model:
```
La3AgPd2
1.0
3.902 2.253 6.568
-3.902 2.253 6.568
0.000 -4.506 6.568
La Ag Pd
6 2 4
Direct
0.042 0.750 0.458
0.250 0.542 0.958
0.458 0.042 0.750
0.542 0.958 0.250
0.750 0.458 0.042
0.958 0.250 0.542
0.000 0.000 0.000
0.500 0.500 0.500
0.146 0.146 0.146
0.354 0.354 0.354
0.646 0.646 0.646
0.854 0.854 0.854
```

Largest 10 diffraction maxima, low angle first, 10° ≤ 2θ ≤ 90°:
2θ 22.8, intensity 13
2θ 26.6, intensity 100
2θ 35.7, intensity 87
2θ 38.9, intensity 13
2θ 40.0, intensity 66
2θ 47.6, intensity 20
2θ 48.7, intensity 11
2θ 54.7, intensity 23
2θ 69.9, intensity 15
2θ 72.7, intensity 11

2.
This entry pairs a crystal structure of La2Ag2Pd15 with its theoretical powder diffractogram. Radiation: Cu Kα X-rays. Structure: a cell relaxed with GGA-PBE.
Peak positions follow from Bragg's law for the DFT cell and can differ from measured ones.

Structural model:
```
La2Ag2Pd15
1.0
4.618 2.666 4.588
-4.618 2.666 4.588
0.000 -5.332 4.588
La Ag Pd
2 2 15
Direct
0.159 0.159 0.159
0.841 0.841 0.841
0.402 0.402 0.402
0.598 0.598 0.598
0.000 0.500 0.500
0.154 0.154 0.660
0.154 0.660 0.154
0.192 0.500 0.808
0.192 0.808 0.500
0.340 0.846 0.846
0.500 0.000 0.500
0.500 0.192 0.808
0.500 0.500 0.000
0.500 0.808 0.192
0.660 0.154 0.154
0.808 0.192 0.500
0.808 0.500 0.192
0.846 0.340 0.846
0.846 0.846 0.340
```

Largest 10 diffraction maxima, low angle first, 10° ≤ 2θ ≤ 90°:
2θ 33.6, intensity 23
2θ 34.4, intensity 14
2θ 39.1, intensity 100
2θ 39.3, intensity 22
2θ 39.7, intensity 16
2θ 43.9, intensity 40
2θ 63.8, intensity 13
2θ 70.7, intensity 16
2θ 71.1, intensity 16
2θ 84.0, intensity 12